Record 1
HgBRh: computed X-ray powder pattern (CuKα), based on a GGA-PBE-relaxed structure.
Lines closer than 0.1° are merged.

Top 12 peaks for 2θ from 5° to 70°, by angle:
15.8°, I 68, hkl 0 0 1; 27.6°, I 263, hkl 0 1 1; 32.0°, I 261, hkl 0 0 2; 35.9°, I 1000, hkl 1 1 1; 39.5°, I 372, hkl 1 0 2; 45.9°, I 339, hkl 2 0 0; 48.9°, I 43, hkl 0 0 3; 54.4°, I 252, hkl 0 1 3; 57.0°, I 127, hkl 0 2 2; 62.1°, I 198, hkl 1 2 2; 66.9°, I 109, hkl 2 2 0; 69.2°, I 31, hkl 0 2 3

Structure:
```
data_HgBRh
_chemical_formula_sum 'Hg2 B2 Rh2'
_cell_length_a 3.953
_cell_length_b 3.958
_cell_length_c 5.592
_cell_angle_alpha 90.00
_cell_angle_beta 90.07
_cell_angle_gamma 90.00
_space_group_name_H-M_alt 'P 1 21/m 1'
_space_group_IT_number 11
loop_
_space_group_symop_operation_xyz
'x,y,z'
'-x,-y,-z'
'-x,y+1/2,-z'
'x,-y+1/2,z'
loop_
_atom_site_label
_atom_site_type_symbol
_atom_site_fract_x
_atom_site_fract_y
_atom_site_fract_z
Hg1 Hg 0.250 0.250 0.090
B1 B 0.250 0.250 0.661
Rh1 Rh 0.250 0.750 0.500
```



Record 2
Sm5Dy2In: computed X-ray powder pattern (CuKα), based on a GGA-PBE-relaxed structure.
Lines closer than 0.1° are merged.

Top 9 peaks for 2θ from 5° to 70°, by angle:
26.9°, I 5, hkl 1 1 2; 30.9°, I 1000, hkl 1 1 4; 35.2°, I 176, hkl 0 0 8; 36.2°, I 330, hkl 2 0 0; 51.4°, I 240, hkl 2 0 8; 52.1°, I 116, hkl 2 2 0; 60.6°, I 144, hkl 1 1 12; 61.8°, I 276, hkl 3 1 4; 64.5°, I 121, hkl 2 2 8

Structure:
```
data_Sm5Dy2In
_chemical_formula_sum 'Sm10 Dy4 In2'
_cell_length_a 4.964
_cell_length_b 4.964
_cell_length_c 20.380
_cell_angle_alpha 90.00
_cell_angle_beta 90.00
_cell_angle_gamma 90.00
_space_group_name_H-M_alt 'I 4/m m m'
_space_group_IT_number 139
_space_group_name_Hall '-I 4 2'
loop_
_atom_site_label
_atom_site_type_symbol
_atom_site_fract_x
_atom_site_fract_y
_atom_site_fract_z
Sm1 Sm 0.000 0.000 0.000
Sm2 Sm 0.000 0.500 0.123
Dy1 Dy 0.000 0.000 0.248
In1 In 0.000 0.000 0.500
```



Record 3
KRb2SiF7: computed X-ray powder pattern (CuKα), based on a GGA-PBE-relaxed structure.
Lines closer than 0.1° are merged.

Top 12 peaks for 2θ from 5° to 70°, by angle:
27.1°, I 1000, hkl 2 2 1; 30.9°, I 278, hkl 0 0 2; 31.4°, I 202, hkl 0 4 0; 31.9°, I 270, hkl 4 0 0; 34.8°, I 135, hkl 0 2 2; 35.3°, I 144, hkl 2 4 0; 35.7°, I 236, hkl 4 2 0; 40.0°, I 251, hkl 1 3 2; 40.2°, I 182, hkl 3 1 2; 44.6°, I 131, hkl 0 4 2; 45.0°, I 186, hkl 4 0 2; 52.7°, I 130, hkl 2 2 3

Structure:
```
data_KRb2SiF7
_chemical_formula_sum 'K4 Rb8 Si4 F28'
_cell_length_a 11.216
_cell_length_b 11.402
_cell_length_c 5.791
_cell_angle_alpha 90.00
_cell_angle_beta 90.00
_cell_angle_gamma 90.00
_space_group_name_H-M_alt 'C m m m'
_space_group_IT_number 65
_space_group_name_Hall '-C 2 2'
loop_
_atom_site_label
_atom_site_type_symbol
_atom_site_fract_x
_atom_site_fract_y
_atom_site_fract_z
K1 K 0.195 0.000 0.000
Rb1 Rb 0.000 0.305 0.000
Rb2 Rb 0.250 0.250 0.500
Si1 Si 0.000 0.000 0.500
Si2 Si 0.000 0.500 0.500
F1 F 0.000 0.106 0.288
F2 F 0.000 0.349 0.500
F3 F 0.108 0.500 0.288
F4 F 0.153 0.000 0.500
F5 F 0.250 0.250 0.000
```



Record 4
IrRuS2: computed X-ray powder pattern (CuKα), based on a GGA-PBE-relaxed structure.
Lines closer than 0.1° are merged.

Top 12 peaks for 2θ from 5° to 70°, by angle:
18.9°, I 107, hkl 1 0 1; 29.5°, I 1000, hkl 1 1 2; 30.6°, I 37, hkl 1 0 3; 34.0°, I 98, hkl 0 0 4; 34.3°, I 191, hkl 2 0 0; 39.5°, I 39, hkl 2 1 1; 46.6°, I 24, hkl 2 1 3; 49.0°, I 342, hkl 2 0 4; 49.3°, I 169, hkl 2 2 0; 58.1°, I 147, hkl 1 1 6; 58.5°, I 287, hkl 3 1 2; 61.2°, I 76, hkl 2 2 4

Structure:
```
data_IrRuS2
_chemical_formula_sum 'Ir4 Ru4 S8'
_cell_length_a 5.231
_cell_length_b 5.231
_cell_length_c 10.556
_cell_angle_alpha 90.00
_cell_angle_beta 90.00
_cell_angle_gamma 90.00
_space_group_name_H-M_alt 'I -4 2 d'
_space_group_IT_number 122
_space_group_name_Hall 'I -4 2bw'
loop_
_atom_site_label
_atom_site_type_symbol
_atom_site_fract_x
_atom_site_fract_y
_atom_site_fract_z
Ir1 Ir 0.000 0.000 0.000
Ru1 Ru 0.000 0.000 0.500
S1 S 0.246 0.250 0.625
```



Record 5
Nd8Er2Tl: computed X-ray powder pattern (CuKα), based on a GGA-PBE-relaxed structure.
Lines closer than 0.1° are merged.

Top 12 peaks for 2θ from 5° to 70°, by angle:
17.0°, I 135, hkl 1 0 1; 31.2°, I 912, hkl 1 1 2; 31.6°, I 1000, hkl 2 1 -2; 32.7°, I 943, hkl 0 2 0; 42.9°, I 150, hkl 1 0 -4; 47.0°, I 354, hkl 3 2 0; 55.0°, I 144, hkl 1 2 -4; 57.5°, I 162, hkl 1 3 2; 57.7°, I 181, hkl 2 3 -2; 58.0°, I 205, hkl 5 1 -2; 62.6°, I 282, hkl 1 1 5; 63.3°, I 141, hkl 3 2 3

Structure:
```
data_Nd8Er2Tl
_chemical_formula_sum 'Nd8 Er2 Tl1'
_cell_length_a 8.437
_cell_length_b 5.470
_cell_length_c 8.439
_cell_angle_alpha 90.00
_cell_angle_beta 103.42
_cell_angle_gamma 90.00
_space_group_name_H-M_alt 'P 1 2/m 1'
_space_group_IT_number 10
loop_
_space_group_symop_operation_xyz
'x,y,z'
'-x,-y,-z'
'-x,y,-z'
'x,-y,z'
loop_
_atom_site_label
_atom_site_type_symbol
_atom_site_fract_x
_atom_site_fract_y
_atom_site_fract_z
Nd1 Nd 0.027 0.000 0.300
Nd2 Nd 0.252 0.500 0.749
Nd3 Nd 0.300 0.000 0.028
Nd4 Nd 0.334 0.500 0.335
Er1 Er 0.379 0.000 0.621
Tl1 Tl 0.000 0.500 0.000
```



Record 6
BaGeBrO2: computed X-ray powder pattern (CuKα), based on a GGA-PBE-relaxed structure.
Lines closer than 0.1° are merged.

Top 12 peaks for 2θ from 5° to 70°, by angle:
20.5°, I 221, hkl 0 2 1; 24.1°, I 288, hkl 1 3 0; 29.2°, I 1000, hkl 1 3 1; 30.4°, I 277, hkl 2 0 0; 32.7°, I 219, hkl 0 0 2; 35.0°, I 123, hkl 1 5 0; 41.1°, I 107, hkl 1 3 2; 41.5°, I 120, hkl 0 6 1; 45.3°, I 269, hkl 2 0 2; 52.3°, I 122, hkl 2 6 1; 53.2°, I 181, hkl 3 3 1; 56.3°, I 153, hkl 1 3 3

Structure:
```
data_BaGeBrO2
_chemical_formula_sum 'Ba4 Ge4 Br4 O8'
_cell_length_a 5.888
_cell_length_b 14.226
_cell_length_c 5.470
_cell_angle_alpha 90.00
_cell_angle_beta 90.00
_cell_angle_gamma 90.00
_space_group_name_H-M_alt 'C m c m'
_space_group_IT_number 63
_space_group_name_Hall '-C 2c 2'
loop_
_atom_site_label
_atom_site_type_symbol
_atom_site_fract_x
_atom_site_fract_y
_atom_site_fract_z
Ba1 Ba 0.000 0.122 0.250
Ge1 Ge 0.000 0.459 0.250
Br1 Br 0.000 0.257 0.750
O1 O 0.209 0.500 0.000
```



What did the first record say?
HgBRh: computed X-ray powder pattern (CuKα), based on a GGA-PBE-relaxed structure.
Lines closer than 0.1° are merged.

Top 12 peaks for 2θ from 5° to 70°, by angle:
15.8°, I 68, hkl 0 0 1; 27.6°, I 263, hkl 0 1 1; 32.0°, I 261, hkl 0 0 2; 35.9°, I 1000, hkl 1 1 1; 39.5°, I 372, hkl 1 0 2; 45.9°, I 339, hkl 2 0 0; 48.9°, I 43, hkl 0 0 3; 54.4°, I 252, hkl 0 1 3; 57.0°, I 127, hkl 0 2 2; 62.1°, I 198, hkl 1 2 2; 66.9°, I 109, hkl 2 2 0; 69.2°, I 31, hkl 0 2 3

Structure:
```
data_HgBRh
_chemical_formula_sum 'Hg2 B2 Rh2'
_cell_length_a 3.953
_cell_length_b 3.958
_cell_length_c 5.592
_cell_angle_alpha 90.00
_cell_angle_beta 90.07
_cell_angle_gamma 90.00
_space_group_name_H-M_alt 'P 1 21/m 1'
_space_group_IT_number 11
loop_
_space_group_symop_operation_xyz
'x,y,z'
'-x,-y,-z'
'-x,y+1/2,-z'
'x,-y+1/2,z'
loop_
_atom_site_label
_atom_site_type_symbol
_atom_site_fract_x
_atom_site_fract_y
_atom_site_fract_z
Hg1 Hg 0.250 0.250 0.090
B1 B 0.250 0.250 0.661
Rh1 Rh 0.250 0.750 0.500
```